NaTiAg2F6: simulated PXRD pattern (CuKα), based on the PBE geometry in Alexandria.
Intensities are scaled so that the largest is 100.

Top 8 peaks for 10° ≤ 2θ ≤ 90°, by intensity:
- hkl 1 1 1, d 2.936, I = 100.0
- hkl 0 2 0, d 2.972, I = 43.3
- hkl 2 2 -2, d 2.102, I = 36.3
- hkl 0 2 2, d 2.408, I = 34.1
- hkl 3 1 -1, d 1.710, I = 31.0
- hkl 1 1 -1, d 4.204, I = 23.1
- hkl 0 2 4, d 1.689, I = 16.0
- hkl 0 0 4, d 2.051, I = 14.5

Crystal structure
a = 5.944 Å, b = 5.946 Å, c = 10.114 Å
α = 90.00°, β = 125.80°, γ = 90.00°
Space group P2_1/c (No. 14)
One atom of each set of equivalent atoms:
Na 0.000 0.000 0.000
Ti 0.500 0.000 0.500
Ag 0.234 0.015 0.750
F 0.207 0.218 0.448
F 0.231 0.744 0.944
F 0.377 0.009 0.276